For CuH5C8S2IN, a crystal structure in OQMD, relaxed with PBE gives the calculated X-ray powder pattern in this record (Cu Kα (weighted mean of Kα1 and Kα2)).
Neutral-atom scattering factors, no anomalous dispersion.

Top 6 peaks for 10 to 90 degrees two-theta, by angle:
h k l	d/Å	I_rel
0 0 2	7.909	954
2 0 0	7.638	974
2 0 -2	5.641	1000
2 0 2	5.358	501
3 1 0	3.208	701
3 1 1	3.125	667

Crystal structure
Cell: 15.296 4.134 15.839 Å, 90.00 92.95 90.00°
Space group Cc (No. 9)
One atom of each set of equivalent atoms:
Cu 0.000 0.104 0.000
H 0.146 0.244 0.557
H 0.269 0.404 0.343
H 0.281 0.412 0.071
H 0.340 0.233 0.211
H 0.499 0.401 0.821
C 0.055 0.034 0.705
C 0.113 0.189 0.836
C 0.133 0.226 0.692
C 0.168 0.323 0.773
C 0.173 0.318 0.619
C 0.243 0.483 0.281
C 0.248 0.490 0.127
C 0.282 0.390 0.207
S 0.126 0.222 0.940
S 0.485 0.342 0.639
I 0.405 0.115 0.942
N 0.047 0.025 0.792

For HfZrGa2Cu2, a crystal structure in OQMD, relaxed with PBE gives the calculated X-ray powder pattern in this record (Cu Kα (weighted mean of Kα1 and Kα2)).
Neutral-atom scattering factors, no anomalous dispersion.

Top 6 peaks for 10 to 90 degrees two-theta, by angle:
h k l	d/Å	I_rel
1 0 0	3.621	143
1 0 2	2.431	1000
1 1 0	2.090	612
2 0 2	1.585	262
1 1 4	1.290	175
2 1 2	1.263	241

Crystal structure
Cell: 4.1809 4.1809 6.5585 Å, 90.00 90.00 120.00°
Space group P-6m2 (No. 187)
One atom of each set of equivalent atoms:
Hf 0.0000 0.0000 0.0000
Zr 0.0000 0.0000 0.5000
Ga 0.3333 0.6667 0.2670
Cu 0.6667 0.3333 0.2065

For NdHoZn2In2, a crystal structure in OQMD, relaxed with PBE gives the calculated X-ray powder pattern in this record (Cu Kα (weighted mean of Kα1 and Kα2)).
Neutral-atom scattering factors, no anomalous dispersion.

Top 6 peaks for 10 to 90 degrees two-theta, by angle:
h k l	d/Å	I_rel
0 1 2	2.736	1000
1 1 0	2.350	677
2 0 2	1.782	280
1 1 4	1.452	175
1 2 2	1.420	261
3 0 0	1.357	114

Crystal structure
Cell: 4.6997 4.6997 7.3887 Å, 90.00 90.00 120.00°
Space group P3m1 (No. 156)
One atom of each set of equivalent atoms:
Nd 0.0000 0.0000 0.0000
Ho 0.0000 0.0000 0.5011
Zn 0.3333 0.6667 0.2060
Zn 0.6667 0.3333 0.6916
In 0.3333 0.6667 0.7671
In 0.6667 0.3333 0.2837

For AsPdF6, a crystal structure in OQMD, relaxed with PBE gives the calculated X-ray powder pattern in this record (Cu Kα (weighted mean of Kα1 and Kα2)).
Neutral-atom scattering factors, no anomalous dispersion.

Top 6 peaks for 10 to 90 degrees two-theta, by angle:
h k l	d/Å	I_rel
1 1 1	4.237	1000
2 2 0	2.595	469
3 1 1	2.213	477
4 0 0	1.835	328
3 3 1	1.684	188
4 2 2	1.498	182

Crystal structure
Cell: 7.339 7.339 7.339 Å, 90.00 90.00 90.00°
Space group F-43m (No. 216)
One atom of each set of equivalent atoms:
As 0.000 0.000 0.000
Pd 0.250 0.250 0.250
F 0.000 0.000 0.240

For Li2Sc2Al2CuIr, a crystal structure in OQMD, relaxed with PBE gives the calculated X-ray powder pattern in this record (Cu Kα (weighted mean of Kα1 and Kα2)).
Neutral-atom scattering factors, no anomalous dispersion.

Top 6 peaks for 10 to 90 degrees two-theta, by angle:
h k l	d/Å	I_rel
0 0 1	6.257	207
1 0 1	3.628	1000
2 0 0	2.227	361
1 1 2	2.219	713
2 1 1	1.898	331
3 1 2	1.284	233

Crystal structure
Cell: 4.453 4.453 6.257 Å, 90.00 90.00 90.00°
Space group P-4m2 (No. 115)
One atom of each set of equivalent atoms:
Li 0.000 0.000 0.000
Li 0.500 0.500 0.500
Sc 0.000 0.500 0.250
Al 0.000 0.500 0.741
Cu 0.500 0.500 0.000
Ir 0.000 0.000 0.500

For Nd2Ga3Hg3, a crystal structure in OQMD, relaxed with PBE gives the calculated X-ray powder pattern in this record (Cu Kα (weighted mean of Kα1 and Kα2)).
Neutral-atom scattering factors, no anomalous dispersion.

Top 6 peaks for 10 to 90 degrees two-theta, by angle:
h k l	d/Å	I_rel
0 0 2	5.818	204
0 2 2	2.889	287
1 0 4	2.490	538
1 2 2	2.477	1000
2 0 0	2.408	323
2 2 6	1.375	199

Crystal structure
Cell: 4.815 6.656 11.636 Å, 90.00 90.00 90.00°
Space group Amm2 (No. 38)
One atom of each set of equivalent atoms:
Nd 0.000 0.000 0.000
Nd 0.500 0.000 0.336
Ga 0.000 0.000 0.510
Ga 0.500 0.221 0.583
Hg 0.000 0.244 0.737
Hg 0.500 0.000 0.821